# 1
For AcGa3H12, a crystal structure in Alexandria, relaxed with GGA-PBE gives the calculated X-ray powder pattern in this record (a wavelength of 1.5418 Å).

```
data_AcGa3H12
_space_group_name_H-M_alt 'P 63/m'
_space_group_IT_number 176
_space_group_name_Hall '-P 6c'
_cell_length_a 8.9508
_cell_length_b 8.9508
_cell_length_c 6.5617
_cell_angle_alpha 90.00
_cell_angle_beta 90.00
_cell_angle_gamma 120.00
loop_
_atom_site_label
_atom_site_type_symbol
_atom_site_fract_x
_atom_site_fract_y
_atom_site_fract_z
Ac1 Ac 0.3333 0.6667 0.2500
Ga1 Ga 0.0771 0.6412 0.7500
H1 H 0.0144 0.5671 0.2500
H2 H 0.0868 0.3311 0.2500
H3 H 0.1955 0.7203 0.5542
```

Peak list (10 most intense, 10 to 90 degrees two-theta, by intensity)
11.4°, I = 100, hkl 1 0 0; 33.5°, I = 96, hkl 1 2 1; 26.7°, I = 56, hkl 2 0 1; 17.7°, I = 44, hkl 1 0 1; 27.2°, I = 34, hkl 0 0 2; 52.2°, I = 27, hkl 1 2 3; 24.1°, I = 27, hkl 1 1 1; 19.8°, I = 24, hkl 1 1 0; 29.6°, I = 21, hkl 1 0 2; 44.6°, I = 20, hkl 3 0 2


# 2
For AcGaH8Rh2, a crystal structure in Alexandria, relaxed with GGA-PBE gives the calculated X-ray powder pattern in this record (a wavelength of 1.5418 Å).

```
data_AcGaH8Rh2
_space_group_name_H-M_alt 'C 1 2/m 1'
_space_group_IT_number 12
_cell_length_a 8.6502
_cell_length_b 4.3544
_cell_length_c 7.6028
_cell_angle_alpha 90.00
_cell_angle_beta 113.20
_cell_angle_gamma 90.00
loop_
_space_group_symop_operation_xyz
'x,y,z'
'-x,-y,-z'
'-x,y,-z'
'x,-y,z'
'x+1/2,y+1/2,z'
'-x+1/2,-y+1/2,-z'
'-x+1/2,y+1/2,-z'
'x+1/2,-y+1/2,z'
loop_
_atom_site_label
_atom_site_type_symbol
_atom_site_fract_x
_atom_site_fract_y
_atom_site_fract_z
Ac1 Ac 0.0000 0.0000 0.0000
Ga1 Ga 0.0000 0.0000 0.5000
H1 H 0.1427 0.3917 0.3288
H2 H 0.1519 0.5000 0.9425
H3 H 0.2396 0.5000 0.6888
Rh1 Rh 0.0549 0.5000 0.7000
```

Peak list (10 most intense, 10 to 90 degrees two-theta, by intensity)
22.4°, I = 100, hkl 2 0 0; 31.3°, I = 74, hkl 1 1 -2; 38.1°, I = 61, hkl 1 1 2; 24.4°, I = 61, hkl 1 1 -1; 37.4°, I = 32, hkl 3 1 -1; 47.6°, I = 27, hkl 2 2 0; 41.5°, I = 26, hkl 0 2 0; 55.3°, I = 20, hkl 3 1 2; 26.5°, I = 18, hkl 2 0 -2; 36.2°, I = 18, hkl 2 0 -3


# 3
For AcGaH2Rh2, a crystal structure in Alexandria, relaxed with GGA-PBE gives the calculated X-ray powder pattern in this record (a wavelength of 1.5418 Å).

```
data_AcGaH2Rh2
_space_group_name_H-M_alt 'C m c m'
_space_group_IT_number 63
_space_group_name_Hall '-C 2c 2'
_cell_length_a 6.9550
_cell_length_b 9.8610
_cell_length_c 5.6537
_cell_angle_alpha 90.00
_cell_angle_beta 90.00
_cell_angle_gamma 90.00
loop_
_atom_site_label
_atom_site_type_symbol
_atom_site_fract_x
_atom_site_fract_y
_atom_site_fract_z
Ac1 Ac 0.0000 0.2298 0.2500
Ga1 Ga 0.0000 0.4233 0.7500
H1 H 0.1752 0.1036 0.7500
Rh1 Rh 0.2212 0.0000 0.0000
```

Peak list (10 most intense, 10 to 90 degrees two-theta, by intensity)
22.2°, I = 100, hkl 1 1 1; 31.5°, I = 87, hkl 2 2 0; 34.1°, I = 80, hkl 1 3 1; 41.2°, I = 74, hkl 2 0 2; 36.6°, I = 62, hkl 0 2 2; 56.1°, I = 33, hkl 2 4 2; 50.8°, I = 31, hkl 3 3 1; 36.4°, I = 30, hkl 0 4 0; 65.7°, I = 23, hkl 0 6 2; 43.2°, I = 19, hkl 3 1 1


# 4
For Ac2GaHg4, a crystal structure in Alexandria, relaxed with GGA-PBE gives the calculated X-ray powder pattern in this record (a wavelength of 1.5418 Å).

```
data_Ac2GaHg4
_space_group_name_H-M_alt 'I 4/m m m'
_space_group_IT_number 139
_space_group_name_Hall '-I 4 2'
_cell_length_a 5.0672
_cell_length_b 5.0672
_cell_length_c 17.3092
_cell_angle_alpha 90.00
_cell_angle_beta 90.00
_cell_angle_gamma 90.00
loop_
_atom_site_label
_atom_site_type_symbol
_atom_site_fract_x
_atom_site_fract_y
_atom_site_fract_z
Ac1 Ac 0.0000 0.0000 0.1472
Ga1 Ga 0.0000 0.0000 0.5000
Hg1 Hg 0.0000 0.0000 0.3336
Hg2 Hg 0.0000 0.5000 0.0000
```

Peak list (10 most intense, 10 to 90 degrees two-theta, by intensity)
32.4°, I = 100, hkl 1 1 4; 35.4°, I = 84, hkl 2 0 0; 26.9°, I = 82, hkl 1 1 2; 47.8°, I = 62, hkl 2 0 6; 31.0°, I = 50, hkl 0 0 6; 61.7°, I = 40, hkl 3 1 4; 24.8°, I = 32, hkl 1 1 0; 51.0°, I = 31, hkl 2 2 0; 60.9°, I = 30, hkl 2 2 6; 59.3°, I = 21, hkl 1 1 10